# UTe2PbO8
Calculated PXRD pattern, Cu Kα (λ = 1.5418 Å). Input: a crystal structure in the Materials Project, relaxed with GGA-PBE.

Cell and atoms:
```
data_UTe2PbO8
_cell_length_a 7.932
_cell_length_b 7.101
_cell_length_c 14.222
_cell_angle_alpha 90.00
_cell_angle_beta 95.08
_cell_angle_gamma 90.00
_symmetry_space_group_name_H-M 'P 1 21/c 1'
_symmetry_Int_Tables_number 14
loop_
_symmetry_equiv_pos_as_xyz
'x,y,z'
'-x,-y,-z'
'-x,y+1/2,-z+1/2'
'x,-y+1/2,z+1/2'
loop_
_atom_site_label
_atom_site_type_symbol
_atom_site_fract_x
_atom_site_fract_y
_atom_site_fract_z
U1 U 0.052 0.157 0.309
Te1 Te 0.192 0.666 0.419
Te2 Te 0.353 0.187 0.542
Pb1 Pb 0.430 0.631 0.672
O1 O 0.071 0.029 0.846
O2 O 0.072 0.666 0.818
O3 O 0.164 0.651 0.148
O4 O 0.169 0.115 0.453
O5 O 0.266 0.170 0.261
O6 O 0.291 0.048 0.032
O7 O 0.393 0.656 0.357
O8 O 0.477 0.676 0.044
```

Peak list (10 most intense, 2θ from 5° to 70°, in order of falling intensity)
2θ = 28.04°, d = 3.182 Å, I = 100, hkl 1 2 -1
2θ = 24.82°, d = 3.588 Å, I = 85, hkl 2 0 -2
2θ = 28.16°, d = 3.169 Å, I = 73, hkl 0 1 4
2θ = 29.65°, d = 3.013 Å, I = 70, hkl 2 1 2
2θ = 44.78°, d = 2.024 Å, I = 56, hkl 1 3 3
2θ = 26.05°, d = 3.421 Å, I = 49, hkl 1 1 3
2θ = 50.92°, d = 1.793 Å, I = 28, hkl 4 0 -4
2θ = 45.74°, d = 1.984 Å, I = 25, hkl 3 2 -3
2θ = 46.53°, d = 1.952 Å, I = 19, hkl 2 0 6
2θ = 47.80°, d = 1.903 Å, I = 19, hkl 4 1 0

# UTePb2O8
Calculated PXRD pattern, Cu Kα (λ = 1.5418 Å). Input: a crystal structure in the Materials Project, relaxed with GGA-PBE.

Cell and atoms:
```
data_UTePb2O8
_cell_length_a 5.866
_cell_length_b 7.904
_cell_length_c 8.039
_cell_angle_alpha 90.00
_cell_angle_beta 90.62
_cell_angle_gamma 90.00
_symmetry_space_group_name_H-M 'P 1 21/c 1'
_symmetry_Int_Tables_number 14
loop_
_symmetry_equiv_pos_as_xyz
'x,y,z'
'-x,-y,-z'
'-x,y+1/2,-z+1/2'
'x,-y+1/2,z+1/2'
loop_
_atom_site_label
_atom_site_type_symbol
_atom_site_fract_x
_atom_site_fract_y
_atom_site_fract_z
U1 U 0.000 0.000 0.000
Te1 Te 0.000 0.000 0.500
Pb1 Pb 0.495 0.164 0.684
O1 O 0.109 0.027 0.734
O2 O 0.127 0.732 0.996
O3 O 0.296 0.065 0.066
O4 O 0.298 0.081 0.434
```

Peak list (10 most intense, 2θ from 5° to 70°, in order of falling intensity)
2θ = 27.21°, d = 3.278 Å, I = 100, hkl 1 2 0
2θ = 26.75°, d = 3.332 Å, I = 71, hkl 1 0 -2
2θ = 30.48°, d = 2.933 Å, I = 67, hkl 2 0 0
2θ = 27.03°, d = 3.299 Å, I = 64, hkl 1 0 2
2θ = 29.35°, d = 3.043 Å, I = 51, hkl 1 2 -1
2θ = 31.75°, d = 2.818 Å, I = 47, hkl 0 2 2
2θ = 25.11°, d = 3.547 Å, I = 44, hkl 0 2 1
2θ = 52.22°, d = 1.752 Å, I = 32, hkl 3 0 2
2θ = 24.85°, d = 3.583 Å, I = 30, hkl 0 1 2
2θ = 48.62°, d = 1.873 Å, I = 29, hkl 1 4 0

# Zr3TePb4O13
Calculated PXRD pattern, Cu Kα (λ = 1.5418 Å). Input: a crystal structure in the Materials Project, relaxed with GGA-PBE.

Cell and atoms:
```
data_Zr3TePb4O13
_cell_length_a 7.6853
_cell_length_b 7.6853
_cell_length_c 18.8491
_cell_angle_alpha 90.00
_cell_angle_beta 90.00
_cell_angle_gamma 120.00
_symmetry_space_group_name_H-M 'R 3 m'
_symmetry_Int_Tables_number 160
_symmetry_space_group_name_Hall 'R 3 -2"'
loop_
_atom_site_label
_atom_site_type_symbol
_atom_site_fract_x
_atom_site_fract_y
_atom_site_fract_z
Zr1 Zr 0.0012 0.5006 0.0000
Te1 Te 0.0000 0.0000 0.4998
Pb1 Pb 0.0000 0.0000 0.0018
Pb2 Pb 0.1670 0.3339 0.8326
O1 O 0.0000 0.0000 0.1285
O2 O 0.0644 0.5322 0.3644
O3 O 0.0901 0.5451 0.1096
O4 O 0.2019 0.4038 0.9699
O5 O 0.2108 0.4217 0.2229
```

Peak list (10 most intense, 2θ from 5° to 70°, in order of falling intensity)
2θ = 28.44°, d = 3.139 Å, I = 100, hkl 2 0 2
2θ = 56.11°, d = 1.639 Å, I = 45, hkl 2 2 6
2θ = 47.29°, d = 1.922 Å, I = 44, hkl 2 0 8
2θ = 32.95°, d = 2.718 Å, I = 38, hkl 0 2 4
2θ = 58.84°, d = 1.569 Å, I = 12, hkl 4 0 4
2θ = 14.10°, d = 6.279 Å, I = 9, hkl 0 0 3
2θ = 36.00°, d = 2.495 Å, I = 9, hkl 2 0 5
2θ = 27.20°, d = 3.278 Å, I = 8, hkl 0 2 1
2θ = 69.11°, d = 1.359 Å, I = 7, hkl 0 4 8
2θ = 43.23°, d = 2.093 Å, I = 5, hkl 0 2 7

# Ti3PbO7
Calculated PXRD pattern, Cu Kα (λ = 1.5418 Å). Input: a crystal structure in the Materials Project, relaxed with GGA-PBE.

Cell and atoms:
```
data_Ti3PbO7
_cell_length_a 6.680
_cell_length_b 3.836
_cell_length_c 10.834
_cell_angle_alpha 90.00
_cell_angle_beta 97.80
_cell_angle_gamma 90.00
_symmetry_space_group_name_H-M 'P 1 21/m 1'
_symmetry_Int_Tables_number 11
loop_
_symmetry_equiv_pos_as_xyz
'x,y,z'
'-x,-y,-z'
'-x,y+1/2,-z'
'x,-y+1/2,z'
loop_
_atom_site_label
_atom_site_type_symbol
_atom_site_fract_x
_atom_site_fract_y
_atom_site_fract_z
Ti1 Ti 0.051 0.250 0.399
Ti2 Ti 0.194 0.250 0.064
Ti3 Ti 0.245 0.750 0.844
Pb1 Pb 0.495 0.750 0.349
O1 O 0.024 0.750 0.426
O2 O 0.064 0.250 0.214
O3 O 0.146 0.750 0.022
O4 O 0.243 0.250 0.881
O5 O 0.253 0.750 0.676
O6 O 0.329 0.250 0.443
O7 O 0.454 0.250 0.128
```

Peak list (10 most intense, 2θ from 5° to 70°, in order of falling intensity)
2θ = 28.64°, d = 3.117 Å, I = 100, hkl 0 1 2
2θ = 30.69°, d = 2.913 Å, I = 74, hkl 1 1 -2
2θ = 8.24°, d = 10.734 Å, I = 52, hkl 0 0 1
2θ = 27.58°, d = 3.234 Å, I = 44, hkl 1 1 -1
2θ = 13.38°, d = 6.619 Å, I = 43, hkl 1 0 0
2θ = 34.32°, d = 2.613 Å, I = 36, hkl 2 0 -3
2θ = 29.30°, d = 3.048 Å, I = 30, hkl 2 0 1
2θ = 47.39°, d = 1.918 Å, I = 29, hkl 0 2 0
2θ = 29.96°, d = 2.983 Å, I = 25, hkl 1 0 3
2θ = 16.66°, d = 5.320 Å, I = 25, hkl 1 0 1

# Ti8Pb8O23
Calculated PXRD pattern, Cu Kα (λ = 1.5418 Å). Input: a crystal structure in the Materials Project, relaxed with GGA-PBE.

Cell and atoms:
```
data_Ti8Pb8O23
_cell_length_a 11.512
_cell_length_b 3.953
_cell_length_c 12.546
_cell_angle_alpha 90.00
_cell_angle_beta 113.70
_cell_angle_gamma 90.00
_symmetry_space_group_name_H-M 'P 1 m 1'
_symmetry_Int_Tables_number 6
loop_
_symmetry_equiv_pos_as_xyz
'x,y,z'
'x,-y,z'
loop_
_atom_site_label
_atom_site_type_symbol
_atom_site_fract_x
_atom_site_fract_y
_atom_site_fract_z
Ti1 Ti 0.000 0.000 0.000
Ti2 Ti 0.119 0.000 0.745
Ti3 Ti 0.244 0.000 0.495
Ti4 Ti 0.366 0.000 0.244
Ti5 Ti 0.493 0.000 0.995
Ti6 Ti 0.618 0.000 0.746
Ti7 Ti 0.742 0.000 0.496
Ti8 Ti 0.868 0.000 0.246
Pb1 Pb 0.105 0.500 0.240
Pb2 Pb 0.233 0.500 0.985
Pb3 Pb 0.354 0.500 0.736
Pb4 Pb 0.478 0.500 0.485
Pb5 Pb 0.602 0.500 0.235
Pb6 Pb 0.730 0.500 0.986
Pb7 Pb 0.854 0.500 0.738
Pb8 Pb 0.978 0.500 0.486
O1 O 0.083 0.000 0.892
O2 O 0.084 0.000 0.388
O3 O 0.146 0.500 0.767
O4 O 0.203 0.000 0.135
O5 O 0.209 0.000 0.640
O6 O 0.272 0.500 0.515
O7 O 0.332 0.000 0.890
O8 O 0.334 0.000 0.389
O9 O 0.394 0.500 0.263
O10 O 0.458 0.000 0.140
O11 O 0.458 0.000 0.639
O12 O 0.521 0.500 0.015
O13 O 0.582 0.000 0.388
O14 O 0.584 0.000 0.889
O15 O 0.648 0.500 0.766
O16 O 0.708 0.000 0.139
O17 O 0.709 0.000 0.639
O18 O 0.772 0.500 0.513
O19 O 0.835 0.000 0.389
O20 O 0.838 0.000 0.892
O21 O 0.898 0.500 0.262
O22 O 0.958 0.000 0.638
O23 O 0.961 0.000 0.137
```

Peak list (10 most intense, 2θ from 5° to 70°, in order of falling intensity)
2θ = 31.11°, d = 2.875 Å, I = 100, hkl 2 1 1
2θ = 32.07°, d = 2.791 Å, I = 46, hkl 2 1 -3
2θ = 38.75°, d = 2.324 Å, I = 38, hkl 0 1 4
2θ = 22.52°, d = 3.947 Å, I = 36, hkl 2 0 -3
2θ = 21.18°, d = 4.194 Å, I = 24, hkl 2 0 1
2θ = 54.75°, d = 1.677 Å, I = 22, hkl 2 1 5
2θ = 56.61°, d = 1.626 Å, I = 19, hkl 6 1 -5
2θ = 56.52°, d = 1.628 Å, I = 19, hkl 0 2 4
2θ = 49.20°, d = 1.852 Å, I = 14, hkl 4 1 2
2θ = 45.91°, d = 1.977 Å, I = 13, hkl 0 2 0

# Zr3Ti2Pb5O15
Calculated PXRD pattern, Cu Kα (λ = 1.5418 Å). Input: a crystal structure in the Materials Project, relaxed with GGA-PBE.

Cell and atoms:
```
data_Zr3Ti2Pb5O15
_cell_length_a 29.258
_cell_length_b 5.801
_cell_length_c 4.266
_cell_angle_alpha 90.00
_cell_angle_beta 91.30
_cell_angle_gamma 90.00
_symmetry_space_group_name_H-M 'C 1 m 1'
_symmetry_Int_Tables_number 8
loop_
_symmetry_equiv_pos_as_xyz
'x,y,z'
'x,-y,z'
'x+1/2,y+1/2,z'
'x+1/2,-y+1/2,z'
loop_
_atom_site_label
_atom_site_type_symbol
_atom_site_fract_x
_atom_site_fract_y
_atom_site_fract_z
Zr1 Zr 0.000 0.000 0.000
Zr2 Zr 0.103 0.500 0.000
Zr3 Zr 0.207 0.000 0.003
Ti1 Ti 0.306 0.500 0.984
Ti2 Ti 0.403 0.000 0.981
Pb1 Pb 0.009 0.500 0.447
Pb2 Pb 0.113 0.000 0.449
Pb3 Pb 0.216 0.500 0.449
Pb4 Pb 0.313 0.000 0.439
Pb5 Pb 0.405 0.500 0.435
O1 O 0.047 0.258 0.052
O2 O 0.096 0.500 0.524
O3 O 0.150 0.239 0.055
O4 O 0.199 0.000 0.527
O5 O 0.254 0.268 0.062
O6 O 0.301 0.500 0.564
O7 O 0.349 0.248 0.062
O8 O 0.396 0.000 0.559
O9 O 0.444 0.245 0.052
O10 O 0.492 0.500 0.523
```

Peak list (10 most intense, 2θ from 5° to 70°, in order of falling intensity)
2θ = 29.91°, d = 2.987 Å, I = 100, hkl 5 1 -1
2θ = 30.41°, d = 2.940 Å, I = 98, hkl 5 1 1
2θ = 43.96°, d = 2.060 Å, I = 48, hkl 10 2 0
2θ = 30.83°, d = 2.901 Å, I = 48, hkl 0 2 0
2θ = 30.56°, d = 2.925 Å, I = 45, hkl 10 0 0
2θ = 21.57°, d = 4.119 Å, I = 44, hkl 5 1 0
2θ = 54.54°, d = 1.682 Å, I = 37, hkl 5 3 1
2θ = 20.83°, d = 4.265 Å, I = 27, hkl 0 0 1
2θ = 37.50°, d = 2.399 Å, I = 25, hkl 0 2 1
2θ = 42.38°, d = 2.133 Å, I = 24, hkl 0 0 2

# ZrTiPb2O6
Calculated PXRD pattern, Cu Kα (λ = 1.5418 Å). Input: a crystal structure in the Materials Project, relaxed with GGA-PBE.

Cell and atoms:
```
data_ZrTiPb2O6
_cell_length_a 5.7970
_cell_length_b 5.7970
_cell_length_c 14.4533
_cell_angle_alpha 90.00
_cell_angle_beta 90.00
_cell_angle_gamma 120.00
_symmetry_space_group_name_H-M 'R 3 m'
_symmetry_Int_Tables_number 160
_symmetry_space_group_name_Hall 'R 3 -2"'
loop_
_atom_site_label
_atom_site_type_symbol
_atom_site_fract_x
_atom_site_fract_y
_atom_site_fract_z
Zr1 Zr 0.0000 0.0000 0.0000
Ti1 Ti 0.0000 0.0000 0.4997
Pb1 Pb 0.0000 0.0000 0.2319
Pb2 Pb 0.0000 0.0000 0.7289
O1 O 0.0199 0.5100 0.2640
O2 O 0.1672 0.3344 0.1029
```

Peak list (10 most intense, 2θ from 5° to 70°, in order of falling intensity)
2θ = 30.48°, d = 2.933 Å, I = 100, hkl 1 0 4
2θ = 30.85°, d = 2.899 Å, I = 99, hkl 1 1 0
2θ = 43.92°, d = 2.062 Å, I = 52, hkl 0 2 4
2θ = 21.55°, d = 4.123 Å, I = 52, hkl 0 1 2
2θ = 54.63°, d = 1.680 Å, I = 41, hkl 2 1 4
2θ = 37.95°, d = 2.371 Å, I = 28, hkl 2 0 2
2θ = 49.18°, d = 1.853 Å, I = 22, hkl 1 1 6
2θ = 54.86°, d = 1.673 Å, I = 20, hkl 3 0 0
2θ = 53.94°, d = 1.700 Å, I = 20, hkl 0 1 8
2θ = 64.27°, d = 1.449 Å, I = 18, hkl 2 2 0

# Zr3TiPb4O12
Calculated PXRD pattern, Cu Kα (λ = 1.5418 Å). Input: a crystal structure in the Materials Project, relaxed with GGA-PBE.

Cell and atoms:
```
data_Zr3TiPb4O12
_cell_length_a 5.867
_cell_length_b 5.933
_cell_length_c 10.174
_cell_angle_alpha 73.36
_cell_angle_beta 89.98
_cell_angle_gamma 60.37
_symmetry_space_group_name_H-M 'P 1'
_symmetry_Int_Tables_number 1
loop_
_symmetry_equiv_pos_as_xyz
'x,y,z'
loop_
_atom_site_label
_atom_site_type_symbol
_atom_site_fract_x
_atom_site_fract_y
_atom_site_fract_z
Zr1 Zr 0.000 0.000 0.000
Zr2 Zr 0.247 0.506 0.745
Zr3 Zr 0.750 0.499 0.254
Ti1 Ti 0.496 0.007 0.498
Pb1 Pb 0.095 0.811 0.372
Pb2 Pb 0.342 0.313 0.117
Pb3 Pb 0.590 0.818 0.855
Pb4 Pb 0.839 0.326 0.611
O1 O 0.117 0.701 0.889
O2 O 0.144 0.192 0.401
O3 O 0.145 0.202 0.860
O4 O 0.406 0.699 0.115
O5 O 0.424 0.711 0.639
O6 O 0.430 0.195 0.630
O7 O 0.616 0.710 0.392
O8 O 0.621 0.203 0.890
O9 O 0.638 0.193 0.373
O10 O 0.893 0.711 0.610
O11 O 0.928 0.699 0.147
O12 O 0.931 0.199 0.145
```

Peak list (10 most intense, 2θ from 5° to 70°, in order of falling intensity)
2θ = 30.45°, d = 2.935 Å, I = 100, hkl 2 1 0
2θ = 30.13°, d = 2.966 Å, I = 100, hkl 1 2 1
2θ = 43.37°, d = 2.086 Å, I = 51, hkl 2 0 2
2θ = 21.29°, d = 4.173 Å, I = 42, hkl 1 0 1
2θ = 53.91°, d = 1.701 Å, I = 41, hkl 3 0 -1
2θ = 37.46°, d = 2.401 Å, I = 22, hkl 2 2 2
2θ = 54.12°, d = 1.695 Å, I = 21, hkl 3 2 3
2θ = 48.58°, d = 1.874 Å, I = 21, hkl 2 -1 0
2θ = 53.30°, d = 1.719 Å, I = 19, hkl 0 3 2
2θ = 63.37°, d = 1.468 Å, I = 17, hkl 4 2 0

# ZrTiPb2O6
Calculated PXRD pattern, Cu Kα (λ = 1.5418 Å). Input: a crystal structure in the Materials Project, relaxed with GGA-PBE.

Cell and atoms:
```
data_ZrTiPb2O6
_cell_length_a 4.028
_cell_length_b 4.028
_cell_length_c 8.762
_cell_angle_alpha 90.00
_cell_angle_beta 90.00
_cell_angle_gamma 90.00
_symmetry_space_group_name_H-M 'P 4 m m'
_symmetry_Int_Tables_number 99
loop_
_symmetry_equiv_pos_as_xyz
'x,y,z'
'-y,x,z'
'-x,-y,z'
'y,-x,z'
'-x,y,z'
'y,x,z'
'x,-y,z'
'-y,-x,z'
loop_
_atom_site_label
_atom_site_type_symbol
_atom_site_fract_x
_atom_site_fract_y
_atom_site_fract_z
Zr1 Zr 0.000 0.000 0.000
Ti1 Ti 0.000 0.000 0.504
Pb1 Pb 0.500 0.500 0.242
Pb2 Pb 0.500 0.500 0.709
O1 O 0.000 0.000 0.303
O2 O 0.000 0.000 0.774
O3 O 0.000 0.500 0.062
O4 O 0.000 0.500 0.537
```

Peak list (10 most intense, 2θ from 5° to 70°, in order of falling intensity)
2θ = 30.14°, d = 2.965 Å, I = 100, hkl 1 0 2
2θ = 31.41°, d = 2.848 Å, I = 46, hkl 1 1 0
2θ = 55.13°, d = 1.666 Å, I = 38, hkl 2 1 2
2θ = 45.02°, d = 2.014 Å, I = 27, hkl 2 0 0
2θ = 37.67°, d = 2.388 Å, I = 23, hkl 1 1 2
2θ = 22.07°, d = 4.028 Å, I = 21, hkl 1 0 0
2θ = 52.72°, d = 1.736 Å, I = 21, hkl 1 1 4
2θ = 20.27°, d = 4.381 Å, I = 16, hkl 0 0 2
2θ = 62.67°, d = 1.482 Å, I = 12, hkl 2 0 4
2θ = 41.21°, d = 2.190 Å, I = 10, hkl 0 0 4

# ZrTiPb2O6
Calculated PXRD pattern, Cu Kα (λ = 1.5418 Å). Input: a crystal structure in the Materials Project, relaxed with GGA-PBE.

Cell and atoms:
```
data_ZrTiPb2O6
_cell_length_a 4.166
_cell_length_b 4.230
_cell_length_c 8.111
_cell_angle_alpha 89.20
_cell_angle_beta 89.54
_cell_angle_gamma 88.74
_symmetry_space_group_name_H-M 'P 1'
_symmetry_Int_Tables_number 1
loop_
_symmetry_equiv_pos_as_xyz
'x,y,z'
loop_
_atom_site_label
_atom_site_type_symbol
_atom_site_fract_x
_atom_site_fract_y
_atom_site_fract_z
Zr1 Zr 0.000 0.000 0.000
Ti1 Ti 0.974 0.977 0.500
Pb1 Pb 0.452 0.443 0.243
Pb2 Pb 0.456 0.445 0.719
O1 O 0.027 0.547 0.512
O2 O 0.030 0.520 0.020
O3 O 0.033 0.048 0.271
O4 O 0.035 0.053 0.745
O5 O 0.511 0.048 0.021
O6 O 0.531 0.042 0.512
```

Peak list (10 most intense, 2θ from 5° to 70°, in order of falling intensity)
2θ = 29.78°, d = 3.000 Å, I = 100, hkl 1 1 0
2θ = 30.45°, d = 2.935 Å, I = 97, hkl 1 -1 0
2θ = 30.33°, d = 2.947 Å, I = 95, hkl 0 1 2
2θ = 30.76°, d = 2.907 Å, I = 93, hkl 0 1 -2
2θ = 30.65°, d = 2.916 Å, I = 92, hkl 1 0 2
2θ = 30.90°, d = 2.894 Å, I = 92, hkl 1 0 -2
2θ = 21.01°, d = 4.229 Å, I = 56, hkl 0 1 0
2θ = 43.46°, d = 2.082 Å, I = 51, hkl 2 0 0
2θ = 21.34°, d = 4.164 Å, I = 50, hkl 1 0 0
2θ = 42.76°, d = 2.114 Å, I = 49, hkl 0 2 0